(1)
Theoretical powder X-ray diffraction pattern of SmNi2P2 for Cu Kα (weighted mean of Kα1 and Kα2), from DFT lattice parameters and positions (GGA-PBE).
Lines closer than 0.1° are merged.

a = 3.9187 Å, b = 3.9187 Å, c = 9.4765 Å
α = 90.00°, β = 90.00°, γ = 90.00°
Atoms (fractional coordinates):
Sm 0.0000 0.0000 0.0000
Sm 0.5000 0.5000 0.5000
Ni 0.0000 0.5000 0.2500
Ni 0.0000 0.5000 0.7500
Ni 0.5000 0.0000 0.2500
Ni 0.5000 0.0000 0.7500
P 0.0000 0.0000 0.3745
P 0.0000 0.0000 0.6255
P 0.5000 0.5000 0.1255
P 0.5000 0.5000 0.8745

The 12 most intense peaks (10° ≤ 2θ ≤ 90°), sorted by position:
d [Å]  two_theta  Rel. int.
3.621  24.6  42
2.459  36.5  52
2.392  37.6  100
2.369  38.0  15
1.959  46.3  40
1.706  53.7  17
1.532  60.4  23
1.510  61.4  14
1.385  67.6  12
1.372  68.4  17
1.287  73.6  13
1.199  80.0  21


(2)
Theoretical powder X-ray diffraction pattern of Sm3Ni7P5 for Cu Kα (weighted mean of Kα1 and Kα2), from DFT lattice parameters and positions (GGA-PBE).
Lines closer than 0.1° are merged.

a = 16.4459 Å, b = 3.8878 Å, c = 16.4479 Å
α = 90.00°, β = 119.98°, γ = 90.00°
Atoms (fractional coordinates):
Sm 0.0000 0.0000 0.0000
Sm 0.0279 0.5000 0.3249
Sm 0.0850 0.5000 0.5891
Sm 0.2034 0.0000 0.9409
Sm 0.2613 0.0000 0.2064
Sm 0.2898 0.5000 0.5315
Sm 0.4103 0.0000 0.8858
Sm 0.4688 0.0000 0.1486
Sm 0.5225 0.0000 0.4083
Sm 0.7649 0.5000 0.1195
Sm 0.8200 0.5000 0.3815
Sm 0.8805 0.5000 0.6439
Ni 0.0767 0.0000 0.2117
Ni 0.0912 0.5000 0.7792
Ni 0.1342 0.0000 0.4813
Ni 0.1552 0.5000 0.0496
Ni 0.1980 0.0000 0.7506
Ni 0.2111 0.5000 0.3183
Ni 0.3010 0.5000 0.7226
Ni 0.3416 0.0000 0.4193
Ni 0.3603 0.5000 0.9917
Ni 0.3942 0.0000 0.6920
Ni 0.4180 0.5000 0.2549
Ni 0.4673 0.5000 0.5215
Ni 0.5522 0.0000 0.8267
Ni 0.5770 0.5000 0.9415
Ni 0.5853 0.0000 0.6169
Ni 0.6014 0.0000 0.0681
Ni 0.6307 0.5000 0.1989
Ni 0.6588 0.0000 0.3328
Ni 0.6862 0.5000 0.4628
Ni 0.7182 0.0000 0.5881
Ni 0.7318 0.5000 0.7063
Ni 0.7927 0.0000 0.8536
Ni 0.8218 0.0000 0.0151
Ni 0.8707 0.0000 0.2753
Ni 0.8950 0.5000 0.8387
Ni 0.9289 0.0000 0.5391
Ni 0.9462 0.5000 0.1098
Ni 0.9888 0.0000 0.8074
P 0.0364 0.0000 0.6934
P 0.0521 0.5000 0.8948
P 0.1081 0.5000 0.1565
P 0.1815 0.0000 0.3743
P 0.2374 0.0000 0.6359
P 0.2532 0.5000 0.8374
P 0.3112 0.5000 0.0987
P 0.3669 0.5000 0.3587
P 0.4383 0.0000 0.5802
P 0.4634 0.5000 0.7835
P 0.5155 0.5000 0.0427
P 0.5721 0.5000 0.3017
P 0.6212 0.5000 0.5604
P 0.6655 0.0000 0.9712
P 0.7162 0.0000 0.2281
P 0.7743 0.0000 0.4875
P 0.8277 0.0000 0.7434
P 0.8441 0.5000 0.9480
P 0.9220 0.0000 0.1722
P 0.9777 0.0000 0.4319

The 12 most intense peaks (10° ≤ 2θ ≤ 90°), sorted by position:
d [Å]  two_theta  Rel. int.
3.951  22.5  10
3.108  28.7  13
2.626  34.1  12
2.502  35.9  20
2.428  37.0  100
2.281  39.5  13
1.975  45.9  13
1.944  46.7  22
1.795  50.9  16
1.588  58.1  17
1.319  71.6  11
1.196  80.3  10


(3)
Theoretical powder X-ray diffraction pattern of SmNi4P2 for Cu Kα (weighted mean of Kα1 and Kα2), from DFT lattice parameters and positions (GGA-PBE).
Lines closer than 0.1° are merged.

a = 10.7004 Å, b = 14.1062 Å, c = 3.7301 Å
α = 90.00°, β = 90.00°, γ = 90.00°
Atoms (fractional coordinates):
Sm 0.0000 0.0000 0.0000
Sm 0.1207 0.2770 0.0000
Sm 0.3793 0.7770 0.5000
Sm 0.5000 0.5000 0.5000
Sm 0.6207 0.2230 0.5000
Sm 0.8793 0.7230 0.0000
Ni 0.0694 0.8221 0.5000
Ni 0.0730 0.5638 0.0000
Ni 0.0976 0.4407 0.5000
Ni 0.1797 0.7156 0.0000
Ni 0.2251 0.9625 0.5000
Ni 0.2476 0.5870 0.5000
Ni 0.2524 0.0870 0.0000
Ni 0.2749 0.4625 0.0000
Ni 0.3203 0.2156 0.5000
Ni 0.4024 0.9407 0.0000
Ni 0.4270 0.0638 0.5000
Ni 0.4306 0.3221 0.0000
Ni 0.5694 0.6779 0.0000
Ni 0.5730 0.9362 0.5000
Ni 0.5976 0.0593 0.0000
Ni 0.6797 0.7844 0.5000
Ni 0.7251 0.5375 0.0000
Ni 0.7476 0.9130 0.0000
Ni 0.7524 0.4130 0.5000
Ni 0.7749 0.0375 0.5000
Ni 0.8203 0.2844 0.0000
Ni 0.9024 0.5593 0.5000
Ni 0.9270 0.4362 0.0000
Ni 0.9306 0.1779 0.5000
P 0.0670 0.6588 0.5000
P 0.1389 0.1178 0.5000
P 0.2069 0.8716 0.0000
P 0.2931 0.3716 0.5000
P 0.3611 0.6178 0.0000
P 0.4330 0.1588 0.0000
P 0.5670 0.8412 0.0000
P 0.6389 0.3822 0.0000
P 0.7069 0.6284 0.5000
P 0.7931 0.1284 0.0000
P 0.8611 0.8822 0.5000
P 0.9330 0.3412 0.5000

The 12 most intense peaks (10° ≤ 2θ ≤ 90°), sorted by position:
d [Å]  two_theta  Rel. int.
3.526  25.3  38
2.922  30.6  25
2.565  35.0  24
2.502  35.9  48
2.493  36.0  59
2.421  37.1  90
2.311  39.0  20
2.260  39.9  100
2.213  40.8  23
2.074  43.6  23
1.980  45.8  26
1.865  48.8  63


(4)
Theoretical powder X-ray diffraction pattern of Sm6Ni20P13 for Cu Kα (weighted mean of Kα1 and Kα2), from DFT lattice parameters and positions (GGA-PBE).
Lines closer than 0.1° are merged.

a = 12.7806 Å, b = 12.7806 Å, c = 3.8156 Å
α = 90.00°, β = 90.00°, γ = 120.00°
Atoms (fractional coordinates):
Sm 0.0515 0.1977 0.0000
Sm 0.1462 0.9485 0.0000
Sm 0.5204 0.3853 0.5000
Sm 0.6147 0.1350 0.5000
Sm 0.8023 0.8538 0.0000
Sm 0.8650 0.4796 0.5000
Ni 0.0000 0.0000 0.5000
Ni 0.0154 0.4258 0.0000
Ni 0.0889 0.7369 0.5000
Ni 0.1814 0.5952 0.5000
Ni 0.2295 0.4729 0.0000
Ni 0.2434 0.7705 0.0000
Ni 0.2631 0.3520 0.5000
Ni 0.3114 0.2294 0.0000
Ni 0.3564 0.1009 0.5000
Ni 0.4048 0.5862 0.5000
Ni 0.4104 0.9846 0.0000
Ni 0.4138 0.8186 0.5000
Ni 0.5271 0.7566 0.0000
Ni 0.5742 0.5896 0.0000
Ni 0.6480 0.9111 0.5000
Ni 0.6667 0.3333 0.0000
Ni 0.7445 0.6436 0.5000
Ni 0.7706 0.0820 0.0000
Ni 0.8991 0.2555 0.5000
Ni 0.9180 0.6886 0.0000
P 0.0529 0.6202 0.0000
P 0.1023 0.3911 0.5000
P 0.1989 0.1453 0.5000
P 0.2888 0.8977 0.5000
P 0.3333 0.6667 0.0000
P 0.3798 0.4327 0.0000
P 0.4686 0.1877 0.0000
P 0.5673 0.9471 0.0000
P 0.6089 0.7112 0.5000
P 0.7191 0.5314 0.0000
P 0.8123 0.2809 0.0000
P 0.8547 0.0536 0.5000
P 0.9464 0.8011 0.5000

The 12 most intense peaks (10° ≤ 2θ ≤ 90°), sorted by position:
d [Å]  two_theta  Rel. int.
3.070  29.1  11
2.450  36.7  20
2.415  37.2  13
2.392  37.6  100
2.240  40.3  9
2.092  43.3  11
1.988  45.6  11
1.908  47.7  22
1.772  51.6  19
1.607  57.3  13
1.298  72.8  13
1.175  82.0  10


(5)
Theoretical powder X-ray diffraction pattern of SmNiP for Cu Kα (weighted mean of Kα1 and Kα2), from DFT lattice parameters and positions (GGA-PBE).
Lines closer than 0.1° are merged.

a = 3.9442 Å, b = 3.9442 Å, c = 15.8756 Å
α = 90.00°, β = 90.00°, γ = 120.00°
Atoms (fractional coordinates):
Sm 0.0000 0.0000 0.0000
Sm 0.0000 0.0000 0.2500
Sm 0.0000 0.0000 0.5000
Sm 0.0000 0.0000 0.7500
Ni 0.3333 0.6667 0.1272
Ni 0.3333 0.6667 0.3728
Ni 0.6667 0.3333 0.6272
Ni 0.6667 0.3333 0.8728
P 0.3333 0.6667 0.6250
P 0.3333 0.6667 0.8750
P 0.6667 0.3333 0.1250
P 0.6667 0.3333 0.3750

The 12 most intense peaks (10° ≤ 2θ ≤ 90°), sorted by position:
d [Å]  two_theta  Rel. int.
3.969  22.4  3
3.416  26.1  27
2.589  34.6  100
1.984  45.7  12
1.972  46.0  34
1.716  53.4  8
1.708  53.7  4
1.569  58.9  22
1.399  66.9  22
1.234  77.3  9
1.228  77.8  19
1.139  85.2  6


(6)
Theoretical powder X-ray diffraction pattern of Ni10SnP3 for Cu Kα (weighted mean of Kα1 and Kα2), from DFT lattice parameters and positions (GGA-PBE).
Lines closer than 0.1° are merged.

a = 7.6717 Å, b = 7.6717 Å, c = 9.6102 Å
α = 90.00°, β = 90.00°, γ = 120.00°
Atoms (fractional coordinates):
Ni 0.0000 0.0000 0.1198
Ni 0.0000 0.0000 0.8802
Ni 0.0000 0.3378 0.0000
Ni 0.0000 0.6622 0.0000
Ni 0.0187 0.5093 0.7403
Ni 0.1376 0.2753 0.3005
Ni 0.1376 0.8624 0.3005
Ni 0.1892 0.3783 0.5727
Ni 0.1892 0.8108 0.5727
Ni 0.2753 0.1376 0.6995
Ni 0.3333 0.6667 0.4039
Ni 0.3333 0.6667 0.8841
Ni 0.3378 0.0000 0.0000
Ni 0.3378 0.3378 0.0000
Ni 0.3783 0.1892 0.4273
Ni 0.4907 0.5093 0.7403
Ni 0.4907 0.9813 0.7403
Ni 0.5093 0.0187 0.2597
Ni 0.5093 0.4907 0.2597
Ni 0.6217 0.8108 0.5727
Ni 0.6622 0.0000 0.0000
Ni 0.6622 0.6622 0.0000
Ni 0.6667 0.3333 0.1159
Ni 0.6667 0.3333 0.5961
Ni 0.7247 0.8624 0.3005
Ni 0.8108 0.1892 0.4273
Ni 0.8108 0.6217 0.4273
Ni 0.8624 0.1376 0.6995
Ni 0.8624 0.7247 0.6995
Ni 0.9813 0.4907 0.2597
Sn 0.0000 0.0000 0.5000
Sn 0.3333 0.6667 0.1394
Sn 0.6667 0.3333 0.8606
P 0.0000 0.5000 0.5000
P 0.1644 0.3289 0.8091
P 0.1644 0.8356 0.8091
P 0.3289 0.1644 0.1909
P 0.5000 0.0000 0.5000
P 0.5000 0.5000 0.5000
P 0.6711 0.8356 0.8091
P 0.8356 0.1644 0.1909
P 0.8356 0.6711 0.1909

The 12 most intense peaks (10° ≤ 2θ ≤ 90°), sorted by position:
d [Å]  two_theta  Rel. int.
2.459  36.5  58
2.430  37.0  35
2.306  39.1  33
2.226  40.5  34
2.215  40.7  19
2.158  41.9  53
2.036  44.5  52
2.011  45.1  46
1.947  46.7  89
1.918  47.4  100
1.646  55.9  19
1.107  88.2  20


(7)
Theoretical powder X-ray diffraction pattern of Ni21Sn2P6 for Cu Kα (weighted mean of Kα1 and Kα2), from DFT lattice parameters and positions (GGA-PBE).
Lines closer than 0.1° are merged.

a = 7.8510 Å, b = 7.8510 Å, c = 7.8510 Å
α = 60.00°, β = 60.00°, γ = 60.00°
Atoms (fractional coordinates):
Ni 0.0000 0.0000 0.0000
Ni 0.0000 0.0000 0.3481
Ni 0.0000 0.0000 0.6519
Ni 0.0000 0.3481 0.0000
Ni 0.0000 0.3481 0.6519
Ni 0.0000 0.6519 0.0000
Ni 0.0000 0.6519 0.3481
Ni 0.1515 0.6162 0.6162
Ni 0.3481 0.0000 0.0000
Ni 0.3481 0.0000 0.6519
Ni 0.3481 0.6519 0.0000
Ni 0.3838 0.3838 0.3838
Ni 0.3838 0.3838 0.8485
Ni 0.3838 0.8485 0.3838
Ni 0.6162 0.1515 0.6162
Ni 0.6162 0.6162 0.1515
Ni 0.6162 0.6162 0.6162
Ni 0.6519 0.0000 0.0000
Ni 0.6519 0.0000 0.3481
Ni 0.6519 0.3481 0.0000
Ni 0.8485 0.3838 0.3838
Sn 0.2500 0.2500 0.2500
Sn 0.7500 0.7500 0.7500
P 0.2619 0.2619 0.7381
P 0.2619 0.7381 0.2619
P 0.2619 0.7381 0.7381
P 0.7381 0.2619 0.2619
P 0.7381 0.2619 0.7381
P 0.7381 0.7381 0.2619

The 12 most intense peaks (10° ≤ 2θ ≤ 90°), sorted by position:
d [Å]  two_theta  Rel. int.
2.483  36.2  36
2.266  39.8  39
2.137  42.3  100
1.963  46.3  47
1.877  48.5  29
1.674  54.8  25
1.388  67.5  7
1.346  69.9  11
1.309  72.2  30
1.282  73.9  12
1.133  85.7  25
1.116  87.4  7


(8)
Theoretical powder X-ray diffraction pattern of Ni2SnP for Cu Kα (weighted mean of Kα1 and Kα2), from DFT lattice parameters and positions (GGA-PBE).
Lines closer than 0.1° are merged.

a = 12.9457 Å, b = 3.5902 Å, c = 5.0937 Å
α = 90.00°, β = 90.00°, γ = 90.00°
Atoms (fractional coordinates):
Ni 0.0805 0.2500 0.0137
Ni 0.1117 0.2500 0.4992
Ni 0.3883 0.7500 0.9992
Ni 0.4195 0.7500 0.5137
Ni 0.5805 0.2500 0.4863
Ni 0.6117 0.2500 0.0008
Ni 0.8883 0.7500 0.5008
Ni 0.9195 0.7500 0.9863
Sn 0.2071 0.7500 0.7825
Sn 0.2929 0.2500 0.2825
Sn 0.7071 0.7500 0.7175
Sn 0.7929 0.2500 0.2175
P 0.0436 0.7500 0.2833
P 0.4564 0.2500 0.7833
P 0.5436 0.7500 0.2167
P 0.9564 0.2500 0.7167

The 12 most intense peaks (10° ≤ 2θ ≤ 90°), sorted by position:
d [Å]  two_theta  Rel. int.
2.935  30.5  37
2.732  32.8  64
2.673  33.5  100
2.404  37.4  61
2.370  38.0  32
2.001  45.3  33
1.978  45.9  95
1.849  49.3  44
1.795  50.9  39
1.500  61.8  21
1.336  70.5  17
1.277  74.3  17